Starting from a crystal structure in Alexandria, relaxed with PBE, the powder diffraction line list of La2Pm3Sb2 was computed for λ = 1.5418 Å (Cu Kα).
Neutral-atom scattering factors, no anomalous dispersion.

Structure:
```
La2Pm3Sb2
1.0
-2.1286 2.6266 10.1508
2.1286 -2.6266 10.1508
2.1286 2.6266 -10.1508
La Pm Sb
2 3 2
Cartesian
0.0000 0.0000 2.1267
0.0000 0.0000 18.1750
2.1286 0.0000 5.0876
0.0000 2.6266 0.0000
0.0000 2.6266 5.0632
0.0000 0.0000 7.5662
0.0000 0.0000 12.7355
```

Peak list (8 most intense, 2θ from 5° to 70°, sorted by position)
- 32.31°, I 100
- 34.14°, I 23
- 35.36°, I 22
- 42.47°, I 13
- 49.97°, I 12
- 55.57°, I 11
- 56.42°, I 11
- 59.96°, I 17